(1)
Calculated X-ray powder pattern of CrFe2Ag for CuKα, from a structure optimized by DFT (PBE).
Intensities are scaled so that the largest is 100.

Structure:
```
CrFe2Ag
1.0
2.945 0.000 0.000
0.000 2.945 0.000
0.000 0.000 6.346
Cr Fe Ag
1 2 1
direct
0.000 0.000 0.000
0.000 0.000 0.417
0.500 0.500 0.202
0.500 0.500 0.698
```

Top 6 peaks for 2θ = 10–90°, in order of falling intensity:
2.159 Å, 2θ 41.85, I 100; 2.083 Å, 2θ 43.45, I 50; 1.217 Å, 2θ 78.64, I 27; 2.672 Å, 2θ 33.54, I 18; 1.473 Å, 2θ 63.13, I 15; 1.262 Å, 2θ 75.30, I 11

***

(2)
Calculated X-ray powder pattern of Cr2GaAg2S6 for CuKα, from a structure optimized by DFT (PBE).
Intensities are scaled so that the largest is 100.

Structure:
```
Cr2GaAg2S6
1.0
3.083 -5.118 0.000
3.083 5.118 0.000
-2.101 0.000 7.283
Cr Ga Ag S
2 1 2 6
direct
0.149 0.851 0.000
0.851 0.149 0.000
0.500 0.500 0.000
0.329 0.671 0.500
0.671 0.329 0.500
0.098 0.098 0.805
0.215 0.562 0.173
0.438 0.785 0.827
0.562 0.215 0.173
0.785 0.438 0.827
0.902 0.902 0.195
```

Top 6 peaks for 2θ = 10–90°, in order of falling intensity:
2.882 Å, 2θ 31.03, I 100; 1.760 Å, 2θ 51.94, I 75; 2.962 Å, 2θ 30.17, I 59; 2.019 Å, 2θ 44.91, I 51; 3.641 Å, 2θ 24.44, I 35; 5.125 Å, 2θ 17.30, I 32

***

(3)
Calculated X-ray powder pattern of Cr3AgGe for CuKα, from a structure optimized by DFT (PBE).
Intensities are scaled so that the largest is 100.

Structure:
```
Cr3AgGe
1.0
4.764 0.000 0.000
0.000 4.764 0.000
0.000 0.000 4.764
Cr Ag Ge
3 1 1
direct
0.000 0.000 0.500
0.000 0.500 0.000
0.500 0.000 0.000
0.500 0.500 0.500
0.000 0.000 0.000
```

Top 6 peaks for 2θ = 10–90°, in order of falling intensity:
2.382 Å, 2θ 37.77, I 100; 3.369 Å, 2θ 26.46, I 75; 2.751 Å, 2θ 32.55, I 66; 1.684 Å, 2θ 54.48, I 64; 1.945 Å, 2θ 46.70, I 32; 1.436 Å, 2θ 64.92, I 22

***

Question: What is the formula in the first record?
Answer: CrFe2Ag

***

Repeat the third record exactly.
Calculated X-ray powder pattern of Cr3AgGe for CuKα, from a structure optimized by DFT (PBE).
Intensities are scaled so that the largest is 100.

Structure:
```
Cr3AgGe
1.0
4.764 0.000 0.000
0.000 4.764 0.000
0.000 0.000 4.764
Cr Ag Ge
3 1 1
direct
0.000 0.000 0.500
0.000 0.500 0.000
0.500 0.000 0.000
0.500 0.500 0.500
0.000 0.000 0.000
```

Top 6 peaks for 2θ = 10–90°, in order of falling intensity:
2.382 Å, 2θ 37.77, I 100; 3.369 Å, 2θ 26.46, I 75; 2.751 Å, 2θ 32.55, I 66; 1.684 Å, 2θ 54.48, I 64; 1.945 Å, 2θ 46.70, I 32; 1.436 Å, 2θ 64.92, I 22